# Mg3MnPt12
Computed XRD peak list, CuKα. Input: a cell relaxed with PBE.
Intensities are scaled so that the largest is 100.

Top 10 peaks for 10° ≤ 2θ ≤ 90°, in order of rising 2θ:
2θ = 22.50°, 3.951 Å, I 21.1, (1 0 0)
2θ = 32.03°, 2.794 Å, I 17.7, (1 1 0)
2θ = 39.50°, 2.281 Å, I 100.0, (1 1 4)
2θ = 45.84°, 1.979 Å, I 16.4, (0 0 8)
2θ = 45.98°, 1.974 Å, I 32.7, (2 0 0)
2θ = 66.95°, 1.398 Å, I 21.4, (2 0 8)
2θ = 67.06°, 1.396 Å, I 10.7, (2 2 0)
2θ = 80.51°, 1.193 Å, I 12.8, (1 1 12)
2θ = 80.71°, 1.191 Å, I 25.7, (3 1 4)
2θ = 85.04°, 1.141 Å, I 11.4, (2 2 8)

Crystal structure
abc: 3.9477 3.9477 15.8351
angles: 90.00 90.00 90.00
Space group P4/mmm (No. 123)
Symmetry-distinct sites (fractional):
Mg 0.0000 0.0000 0.0000
Mg 0.0000 0.0000 0.2506
Mn 0.0000 0.0000 0.5000
Pt 0.0000 0.5000 0.1255
Pt 0.0000 0.5000 0.3772
Pt 0.5000 0.5000 0.0000
Pt 0.5000 0.5000 0.2513
Pt 0.5000 0.5000 0.5000

---

# RbMgMnTe3
Computed XRD peak list, CuKα. Input: a cell relaxed with PBE.
Intensities are scaled so that the largest is 100.

Top 10 peaks for 10° ≤ 2θ ≤ 90°, in order of rising 2θ:
2θ = 10.86°, 8.147 Å, I 34.6, (1 0 0)
2θ = 22.08°, 4.026 Å, I 32.7, (0 0 3)
2θ = 25.95°, 3.434 Å, I 100.0, (1 1 1)
2θ = 26.22°, 3.399 Å, I 53.6, (2 0 -3)
2θ = 27.41°, 3.253 Å, I 37.4, (1 0 3)
2θ = 29.97°, 2.981 Å, I 60.1, (2 1 -1)
2θ = 31.14°, 2.872 Å, I 25.8, (2 1 -2)
2θ = 38.71°, 2.326 Å, I 34.1, (3 1 -2)
2θ = 43.27°, 2.091 Å, I 36.3, (0 2 0)
2θ = 43.38°, 2.086 Å, I 22.3, (2 1 -5)

Crystal structure
abc: 8.5135 4.1820 12.6214
angles: 90.00 106.88 90.00
Space group P2_1/m (No. 11)
Symmetry-distinct sites (fractional):
Rb 0.0121 0.2500 0.3033
Mg 0.4977 0.7500 0.3919
Mn 0.4610 0.2500 0.1169
Te 0.2843 0.7500 0.5317
Te 0.2892 0.7500 0.1717
Te 0.3272 0.2500 0.8854

---

# MgMnRe2
Computed XRD peak list, CuKα. Input: a cell relaxed with PBE.
Intensities are scaled so that the largest is 100.

Top 8 peaks for 10° ≤ 2θ ≤ 90°, in order of rising 2θ:
2θ = 25.20°, 3.533 Å, I 50.5, (1 1 1)
2θ = 29.18°, 3.060 Å, I 0.6, (2 0 0)
2θ = 41.74°, 2.164 Å, I 100.0, (2 2 0)
2θ = 49.39°, 1.845 Å, I 25.9, (3 1 1)
2θ = 60.51°, 1.530 Å, I 16.6, (4 0 0)
2θ = 66.61°, 1.404 Å, I 10.9, (3 3 1)
2θ = 76.21°, 1.249 Å, I 33.8, (4 2 2)
2θ = 81.77°, 1.178 Å, I 8.5, (5 1 1)

Crystal structure
abc: 6.1200 6.1200 6.1200
angles: 90.00 90.00 90.00
Space group F-43m (No. 216)
Symmetry-distinct sites (fractional):
Mg 0.0000 0.0000 0.0000
Mn 0.2500 0.2500 0.7500
Re 0.0000 0.0000 0.5000
Re 0.2500 0.2500 0.2500